This entry pairs a crystal structure of Rb2ThOsO6 with its simulated XRD peak list. Radiation: Cu Kα (λ = 1.5418 Å). Structure: DFT lattice parameters and positions (PBE).

Peak list (6 most intense, 15° ≤ 2θ ≤ 90°, by intensity)
d = 3.448 Å, I 100
d = 3.008 Å, I 34
d = 1.810 Å, I 32
d = 5.885 Å, I 22
d = 2.103 Å, I 22
d = 2.943 Å, I 21

Structural model:
```
10
Lattice="-3.0080 3.0080 5.8853 3.0080 -3.0080 5.8853 3.0080 3.0080 -5.8853" Properties=species:S:1:pos:R:3 pbc="T T T"
Rb 3.0080 0.0000 2.9426
Rb 0.0000 3.0080 2.9426
Th 0.0000 0.0000 0.0000
Os 0.0000 0.0000 5.8853
O 0.0000 0.0000 2.0647
O 1.7237 1.7237 0.0000
O 1.2843 -1.2843 5.8853
O -1.2843 1.2843 5.8853
O 1.2843 1.2843 5.8853
O 0.0000 0.0000 9.7059
```

=====

This entry pairs a crystal structure of Na2Sr3N with its simulated XRD peak list. Radiation: Cu Kα (λ = 1.5418 Å). Structure: DFT lattice parameters and positions (PBE).

Peak list (6 most intense, 15° ≤ 2θ ≤ 90°, by intensity)
d = 3.297 Å, I 100
d = 2.351 Å, I 40
d = 2.623 Å, I 36
d = 3.148 Å, I 34
d = 1.541 Å, I 28
d = 3.748 Å, I 21

Structural model:
```
12
Lattice="8.6547 0.0000 0.0000 -4.3273 7.4951 0.0000 0.0000 0.0000 6.9362" Properties=species:S:1:pos:R:3 pbc="T T T"
Na 0.0000 4.9968 0.2793
Na 0.0000 4.9968 3.1889
Na 4.3273 2.4984 3.7474
Na 4.3273 2.4984 6.6570
Sr 0.0000 1.9509 5.2022
Sr -2.6378 6.5197 5.2022
Sr 1.6895 0.9754 1.7341
Sr 2.6378 6.5197 5.2022
Sr 6.9652 0.9754 1.7341
Sr 4.3273 5.5443 1.7341
N 0.0000 0.0000 0.0000
N 0.0000 0.0000 3.4681
```

=====

This entry pairs a crystal structure of Tb4Pm5Nd4 with its simulated XRD peak list. Radiation: Cu Kα (λ = 1.5418 Å). Structure: DFT lattice parameters and positions (PBE).

Peak list (6 most intense, 15° ≤ 2θ ≤ 90°, by intensity)
d = 2.966 Å, I 100
d = 2.574 Å, I 34
d = 1.551 Å, I 29
d = 1.815 Å, I 24
d = 2.559 Å, I 17
d = 1.545 Å, I 14

Structural model:
```
13
Lattice="-6.5625 6.5625 2.5591 6.5625 -6.5625 2.5591 6.5625 6.5625 -2.5591" Properties=species:S:1:pos:R:3 pbc="T T T"
Tb 3.0324 2.0233 0.0000
Tb 4.5392 -3.5301 2.5591
Tb 2.0233 10.0927 0.0000
Tb 3.5301 4.5392 2.5591
Pm 0.0000 0.0000 0.0000
Pm 6.0435 4.0487 0.0000
Pm 2.5139 -0.5190 2.5591
Pm 4.0487 7.0816 0.0000
Pm 0.5190 2.5139 2.5591
Nd 8.0981 1.0138 0.0000
Nd 1.0138 5.0270 0.0000
Nd 5.5487 1.5356 2.5591
Nd -1.5356 5.5487 2.5591
```

=====

This entry pairs a crystal structure of Dy4Ho4Er5 with its simulated XRD peak list. Radiation: Cu Kα (λ = 1.5418 Å). Structure: DFT lattice parameters and positions (PBE).

Peak list (6 most intense, 15° ≤ 2θ ≤ 90°, by intensity)
d = 2.869 Å, I 100
d = 2.484 Å, I 51
d = 1.498 Å, I 43
d = 1.757 Å, I 36
d = 1.140 Å, I 18
d = 1.434 Å, I 12

Structural model:
```
13
Lattice="-6.3374 6.3374 2.4815 6.3374 -6.3374 2.4815 6.3374 6.3374 -2.4815" Properties=species:S:1:pos:R:3 pbc="T T T"
Dy 7.8050 0.9794 0.0000
Dy 0.9794 4.8698 0.0000
Dy 5.3580 1.4676 2.4815
Dy -1.4676 5.3580 2.4815
Ho 2.9192 1.9470 0.0000
Ho 4.3904 -3.4181 2.4815
Ho 1.9470 9.7555 0.0000
Ho 3.4181 4.3904 2.4815
Er 0.0000 0.0000 0.0000
Er 5.8491 3.9079 0.0000
Er 2.4294 -0.4882 2.4815
Er 3.9079 6.8256 0.0000
Er 0.4882 2.4294 2.4815
```

=====

This entry pairs a crystal structure of Cs3PbBr with its simulated XRD peak list. Radiation: Cu Kα (λ = 1.5418 Å). Structure: DFT lattice parameters and positions (PBE).

Peak list (6 most intense, 15° ≤ 2θ ≤ 90°, by intensity)
d = 3.980 Å, I 100
d = 3.447 Å, I 92
d = 2.437 Å, I 72
d = 2.079 Å, I 52
d = 1.542 Å, I 35
d = 1.990 Å, I 26

Structural model:
```
5
Lattice="6.8940 0.0000 0.0000 0.0000 6.8940 0.0000 0.0000 0.0000 6.8940" Properties=species:S:1:pos:R:3 pbc="T T T"
Cs 0.0000 0.0000 3.4470
Cs 0.0000 3.4470 0.0000
Cs 3.4470 0.0000 0.0000
Pb 3.4470 3.4470 3.4470
Br 0.0000 0.0000 0.0000
```

=====

This entry pairs a crystal structure of TlIrCO5 with its simulated XRD peak list. Radiation: Cu Kα (λ = 1.5418 Å). Structure: DFT lattice parameters and positions (PBE).

Peak list (6 most intense, 15° ≤ 2θ ≤ 90°, by intensity)
d = 3.261 Å, I 100
d = 2.552 Å, I 72
d = 2.984 Å, I 68
d = 4.823 Å, I 43
d = 2.533 Å, I 36
d = 2.121 Å, I 30

Structural model:
```
16
Lattice="3.3493 -4.2346 0.0000 3.3493 4.2346 0.0000 -3.2192 0.0000 6.3202" Properties=species:S:1:pos:R:3 pbc="T T T"
Tl 0.9349 2.9586 4.7401
Tl 2.5445 -2.9586 1.5800
Ir 3.3493 0.0000 0.0000
Ir 1.7397 0.0000 3.1601
C 2.5445 2.6125 1.5800
C 0.9349 -2.6125 4.7401
O -1.7949 0.7280 5.7238
O 1.5720 1.8710 2.2601
O -0.1853 -0.7280 2.5637
O 3.5170 1.8710 0.9000
O 0.9349 0.7874 4.7401
O 2.5445 -0.7874 1.5800
O -0.0376 -1.8710 5.4202
O 3.6646 0.7280 3.7564
O 1.9074 -1.8710 4.0601
O 5.2742 -0.7280 0.5963
```

=====

This entry pairs a crystal structure of Hg3Ru with its simulated XRD peak list. Radiation: Cu Kα (λ = 1.5418 Å). Structure: DFT lattice parameters and positions (PBE).

Peak list (6 most intense, 15° ≤ 2θ ≤ 90°, by intensity)
d = 2.721 Å, I 100
d = 2.550 Å, I 80
d = 2.461 Å, I 76
d = 2.262 Å, I 70
d = 2.674 Å, I 57
d = 2.120 Å, I 50

Structural model:
```
16
Lattice="7.0937 0.0000 0.0000 0.0000 8.4846 0.0000 0.0000 0.0000 5.7738" Properties=species:S:1:pos:R:3 pbc="T T T"
Hg 0.2350 2.1211 0.7534
Hg 1.3193 0.3372 3.7055
Hg 1.3193 3.9051 3.7055
Hg 2.2276 4.5795 0.8186
Hg 2.2276 8.1473 0.8186
Hg 3.3119 6.3634 3.6403
Hg 3.7819 2.1211 2.1336
Hg 4.8661 0.3372 4.9552
Hg 4.8661 3.9051 4.9552
Hg 5.7744 4.5795 2.0683
Hg 5.7744 8.1473 2.0683
Hg 6.8587 6.3634 5.0205
Ru 0.8194 6.3634 2.3727
Ru 2.7274 2.1211 5.2596
Ru 4.3663 6.3634 0.5143
Ru 6.2743 2.1211 3.4012
```

=====

This entry pairs a crystal structure of FeCu2Rh3 with its simulated XRD peak list. Radiation: Cu Kα (λ = 1.5418 Å). Structure: DFT lattice parameters and positions (PBE).

Peak list (6 most intense, 15° ≤ 2θ ≤ 90°, by intensity)
d = 2.097 Å, I 100
d = 2.138 Å, I 53
d = 1.226 Å, I 32
d = 1.512 Å, I 17
d = 1.203 Å, I 15
d = 3.023 Å, I 8

Structural model:
```
12
Lattice="2.1374 -6.4149 0.0000 2.1374 6.4149 0.0000 0.0000 0.0000 5.8228" Properties=species:S:1:pos:R:3 pbc="T T T"
Fe 2.1374 4.2960 0.0000
Fe 2.1374 -4.2960 0.0000
Cu 2.1374 4.2690 2.9114
Cu 2.1374 0.0000 0.0000
Cu 2.1374 0.0000 2.9114
Cu 2.1374 -4.2690 2.9114
Rh 0.0000 0.0000 1.4616
Rh 0.0000 0.0000 4.3612
Rh 2.1374 2.1549 1.4398
Rh 2.1374 2.1549 4.3830
Rh 2.1374 -2.1549 1.4398
Rh 2.1374 -2.1549 4.3830
```